# 1
For Re3H, a cell relaxed with PBE gives the calculated PXRD pattern in this record (CuKα).

Crystal structure
a b c (Å): 4.2368 4.2368 4.2368
angles (deg): 60.00 60.00 60.00
Sites, in units of the cell vectors:
1 Re 0.0000 0.0000 0.0000
2 Re 0.2500 0.2500 0.2500
3 Re 0.7500 0.7500 0.7500
4 H 0.5000 0.5000 0.5000

Largest 8 diffraction maxima, sorted by position, 15° ≤ 2θ ≤ 90°:
- 25.75°, d = 3.459 Å, I 27
- 29.82°, d = 2.996 Å, I 14
- 42.68°, d = 2.118 Å, I 100
- 50.52°, d = 1.807 Å, I 14
- 61.95°, d = 1.498 Å, I 17
- 68.23°, d = 1.375 Å, I 6
- 70.26°, d = 1.340 Å, I 5
- 78.15°, d = 1.223 Å, I 35

---

# 2
For HRh, a cell relaxed with PBE gives the calculated PXRD pattern in this record (CuKα).

Crystal structure
a b c (Å): 2.8701 2.8701 2.8701
angles (deg): 60.00 60.00 60.00
Sites, in units of the cell vectors:
1 H 0.0000 0.0000 0.0000
2 Rh 0.5000 0.5000 0.5000

Largest 5 diffraction maxima, sorted by position, 15° ≤ 2θ ≤ 90°:
- 38.41°, d = 2.343 Å, I 100
- 44.65°, d = 2.029 Å, I 51
- 64.99°, d = 1.435 Å, I 32
- 78.09°, d = 1.224 Å, I 37
- 82.29°, d = 1.172 Å, I 11

---

# 3
For Sr2H5Rh, a cell relaxed with PBE gives the calculated PXRD pattern in this record (CuKα).

Crystal structure
a b c (Å): 5.4472 5.4472 5.4472
angles (deg): 121.08 121.08 88.14
Sites, in units of the cell vectors:
1 Sr 0.0000 0.5000 0.5000
2 Sr 0.5000 0.0000 0.5000
3 H 0.0234 0.0234 0.5546
4 H 0.0234 0.4688 0.0000
5 H 0.4688 0.0234 0.0000
6 H 0.4688 0.4688 0.4454
7 H 0.4892 0.4892 0.0000
8 Rh 0.2593 0.2593 0.0000

Largest 8 diffraction maxima, sorted by position, 15° ≤ 2θ ≤ 90°:
- 20.08°, d = 4.421 Å, I 52
- 32.90°, d = 2.722 Å, I 100
- 33.45°, d = 2.679 Å, I 47
- 39.32°, d = 2.291 Å, I 17
- 48.03°, d = 1.894 Å, I 18
- 58.40°, d = 1.580 Å, I 18
- 59.44°, d = 1.555 Å, I 36
- 69.00°, d = 1.361 Å, I 12

---

# 4
For Sr2H6Ru, a cell relaxed with PBE gives the calculated PXRD pattern in this record (CuKα).

Crystal structure
a b c (Å): 5.3976 5.3976 5.3976
angles (deg): 60.00 60.00 60.00
Sites, in units of the cell vectors:
1 Sr 0.2500 0.2500 0.2500
2 Sr 0.7500 0.7500 0.7500
3 H 0.2256 0.2256 0.7744
4 H 0.2256 0.7744 0.2256
5 H 0.2256 0.7744 0.7744
6 H 0.7744 0.2256 0.2256
7 H 0.7744 0.2256 0.7744
8 H 0.7744 0.7744 0.2256
9 Ru 0.0000 0.0000 0.0000

Largest 8 diffraction maxima, sorted by position, 15° ≤ 2θ ≤ 90°:
- 20.15°, d = 4.407 Å, I 34
- 23.31°, d = 3.817 Å, I 8
- 33.20°, d = 2.699 Å, I 100
- 39.14°, d = 2.302 Å, I 17
- 47.65°, d = 1.908 Å, I 19
- 59.31°, d = 1.558 Å, I 37
- 69.68°, d = 1.349 Å, I 12
- 79.40°, d = 1.207 Å, I 16

---

# 5
For Si2H2S3, a cell relaxed with PBE gives the calculated PXRD pattern in this record (CuKα).

Crystal structure
a b c (Å): 8.2480 8.2480 9.2956
angles (deg): 90.00 90.00 90.00
Sites, in units of the cell vectors:
1 Si 0.0645 0.1920 0.3733
2 Si 0.1920 0.9355 0.6267
3 Si 0.3080 0.4355 0.8733
4 Si 0.4355 0.6920 0.1267
5 Si 0.5645 0.3080 0.1267
6 Si 0.6920 0.5645 0.8733
7 Si 0.8080 0.0645 0.6267
8 Si 0.9355 0.8080 0.3733
9 H 0.1105 0.3319 0.2814
10 H 0.1681 0.3895 0.7814
11 H 0.3319 0.8895 0.7186
12 H 0.3895 0.8319 0.2186
13 H 0.6105 0.1681 0.2186
14 H 0.6681 0.1105 0.7186
15 H 0.8319 0.6105 0.7814
16 H 0.8895 0.6681 0.2814
17 S 0.0000 0.0000 0.2277
18 S 0.0000 0.0000 0.7723
19 S 0.1367 0.7242 0.5004
20 S 0.2242 0.6367 0.0004
21 S 0.2758 0.1367 0.4996
22 S 0.3633 0.2242 0.9996
23 S 0.5000 0.5000 0.2723
24 S 0.5000 0.5000 0.7277
25 S 0.6367 0.7758 0.9996
26 S 0.7242 0.8633 0.4996
27 S 0.7758 0.3633 0.0004
28 S 0.8633 0.2758 0.5004

Largest 8 diffraction maxima, sorted by position, 15° ≤ 2θ ≤ 90°:
- 15.19°, d = 5.832 Å, I 100
- 23.60°, d = 3.770 Å, I 32
- 24.49°, d = 3.635 Å, I 60
- 25.99°, d = 3.429 Å, I 79
- 28.94°, d = 3.085 Å, I 89
- 30.95°, d = 2.889 Å, I 81
- 45.45°, d = 1.995 Å, I 42
- 49.54°, d = 1.840 Å, I 28

---

# 6
For Sm5Sb3H, a cell relaxed with PBE gives the calculated PXRD pattern in this record (CuKα).

Crystal structure
a b c (Å): 9.2138 9.2138 6.3378
angles (deg): 90.00 90.00 120.00
Sites, in units of the cell vectors:
1 Sm 0.0000 0.2527 0.2500
2 Sm 0.0000 0.7473 0.7500
3 Sm 0.2527 0.0000 0.2500
4 Sm 0.2527 0.2527 0.7500
5 Sm 0.3333 0.6667 0.0000
6 Sm 0.3333 0.6667 0.5000
7 Sm 0.6667 0.3333 0.0000
8 Sm 0.6667 0.3333 0.5000
9 Sm 0.7473 0.0000 0.7500
10 Sm 0.7473 0.7473 0.2500
11 Sb 0.0000 0.3858 0.7500
12 Sb 0.0000 0.6142 0.2500
13 Sb 0.3858 0.0000 0.7500
14 Sb 0.3858 0.3858 0.2500
15 Sb 0.6142 0.0000 0.2500
16 Sb 0.6142 0.6142 0.7500
17 H 0.0000 0.0000 0.0000
18 H 0.0000 0.0000 0.5000

Largest 8 diffraction maxima, sorted by position, 15° ≤ 2θ ≤ 90°:
- 28.16°, d = 3.169 Å, I 17
- 29.62°, d = 3.016 Å, I 31
- 30.35°, d = 2.945 Å, I 17
- 32.89°, d = 2.723 Å, I 100
- 33.70°, d = 2.660 Å, I 64
- 34.35°, d = 2.611 Å, I 91
- 48.88°, d = 1.863 Å, I 25
- 52.92°, d = 1.730 Å, I 26

---

# 7
For Sc2H5, a cell relaxed with PBE gives the calculated PXRD pattern in this record (CuKα).

Crystal structure
a b c (Å): 3.3605 6.0502 5.7744
angles (deg): 90.00 90.00 90.00
Sites, in units of the cell vectors:
1 Sc 0.2500 0.2500 0.0768
2 Sc 0.2500 0.7500 0.4108
3 Sc 0.7500 0.2500 0.5892
4 Sc 0.7500 0.7500 0.9232
5 H 0.2500 0.0902 0.3942
6 H 0.2500 0.2500 0.7445
7 H 0.2500 0.4098 0.3942
8 H 0.2500 0.5919 0.0610
9 H 0.2500 0.9081 0.0610
10 H 0.7500 0.0919 0.9390
11 H 0.7500 0.4081 0.9390
12 H 0.7500 0.5902 0.6058
13 H 0.7500 0.7500 0.2555
14 H 0.7500 0.9098 0.6058

Largest 8 diffraction maxima, sorted by position, 15° ≤ 2θ ≤ 90°:
- 29.53°, d = 3.025 Å, I 53
- 30.78°, d = 2.904 Å, I 26
- 34.25°, d = 2.618 Å, I 100
- 34.42°, d = 2.606 Å, I 49
- 43.18°, d = 2.095 Å, I 16
- 54.98°, d = 1.670 Å, I 18
- 55.47°, d = 1.657 Å, I 25
- 63.64°, d = 1.462 Å, I 19

---

# 8
For ScH3, a cell relaxed with PBE gives the calculated PXRD pattern in this record (CuKα).

Crystal structure
a b c (Å): 3.3699 3.3699 3.3699
angles (deg): 60.00 60.00 60.00
Sites, in units of the cell vectors:
1 Sc 0.0000 0.0000 0.0000
2 H 0.2500 0.2500 0.2500
3 H 0.5000 0.5000 0.5000
4 H 0.7500 0.7500 0.7500

Largest 7 diffraction maxima, sorted by position, 15° ≤ 2θ ≤ 90°:
- 32.54°, d = 2.752 Å, I 100
- 37.75°, d = 2.383 Å, I 49
- 54.46°, d = 1.685 Å, I 36
- 64.89°, d = 1.437 Å, I 35
- 68.16°, d = 1.376 Å, I 10
- 80.64°, d = 1.191 Å, I 5
- 89.68°, d = 1.093 Å, I 14